For Pr5GaAg2, a DFT-relaxed cell (PBE, Alexandria) gives the computed powder XRD pattern in this record (copper Kα).
Intensities are scaled so that the largest is 100.

Top 8 peaks for 15° ≤ 2θ ≤ 90°, by angle:
h k l, 2θ/deg, d (Å), I (rel.)
2 1 3, 30.9, 2.892, 100
2 0 4, 32.3, 2.771, 22
0 0 6, 33.7, 2.657, 20
3 1 0, 36.9, 2.437, 35
3 1 6, 50.8, 1.796, 15
4 1 3, 51.8, 1.763, 12
2 1 9, 58.6, 1.576, 12
5 2 3, 67.8, 1.382, 11

Atomic structure:
a = 7.708 Å, b = 7.708 Å, c = 15.944 Å
α = 90.00°, β = 90.00°, γ = 90.00°
Space group I4/mcm (No. 140)
One atom of each set of equivalent atoms:
1 Pr 0.000 0.000 0.000 x4
2 Pr 0.166 0.334 0.156 x16
3 Ga 0.000 0.000 0.250 x4
4 Ag 0.127 0.373 0.500 x8